For Mg3Fe3P4O16, a crystal structure in Alexandria, relaxed with PBE+U gives the computed powder diffraction line list in this record (CuKα).
Kinematic intensities with the Lorentz-polarization factor, no thermal factor.

Cell and atoms:
a b c (Å): 5.175 7.772 8.428
angles (deg): 90.16 90.21 94.71
Positions (direct):
Mg  0.000  0.000  0.000
Mg  0.092  0.111  0.648
Mg  0.502  0.499  0.501
Fe  0.414  0.381  0.147
Fe  0.591  0.615  0.854
Fe  0.915  0.884  0.355
P  0.038  0.702  0.693
P  0.466  0.797  0.192
P  0.535  0.201  0.806
P  0.968  0.296  0.312
O  0.050  0.235  0.143
O  0.059  0.861  0.581
O  0.185  0.435  0.362
O  0.202  0.877  0.193
O  0.302  0.622  0.694
O  0.312  0.068  0.858
O  0.444  0.262  0.640
O  0.444  0.639  0.078
O  0.552  0.739  0.361
O  0.560  0.356  0.924
O  0.683  0.932  0.137
O  0.702  0.374  0.310
O  0.799  0.120  0.802
O  0.820  0.567  0.637
O  0.954  0.143  0.430
O  0.954  0.759  0.862

The 6 most intense peaks (2θ from 5° to 70°), low angle first:
- 2θ 19.9, I = 456
- 2θ 20.2, I = 337
- 2θ 22.5, I = 377
- 2θ 25.3, I = 1000
- 2θ 35.0, I = 283
- 2θ 36.4, I = 250